1.
# Nd5Dy4Ho2
Theoretical powder diffraction line list, Cu Ka. Input: DFT lattice parameters and positions (GGA-PBE).

Principal peaks in the range 10 to 90 degrees two-theta, in order of rising 2θ:
- 2θ 29.69, intensity 26
- 2θ 30.06, intensity 21
- 2θ 30.62, intensity 32
- 2θ 30.79, intensity 62
- 2θ 31.75, intensity 100
- 2θ 32.70, intensity 41
- 2θ 33.72, intensity 23
- 2θ 47.29, intensity 17
- 2θ 51.37, intensity 16
- 2θ 55.36, intensity 19
- 2θ 61.09, intensity 18
- 2θ 61.66, intensity 30

Structural model:
a = 9.0342 Å, b = 9.0342 Å, c = 11.6509 Å
α = 93.93°, β = 93.93°, γ = 22.71°
Fractional coordinates of all 11 atoms:
Nd1 0.0000 0.0000 0.0000
Nd2 0.3231 0.3231 0.9290
Nd3 0.4031 0.4031 0.4641
Nd4 0.5969 0.5969 0.5359
Nd5 0.6769 0.6769 0.0710
Dy1 0.1406 0.1406 0.7951
Dy2 0.4640 0.4640 0.7393
Dy3 0.5360 0.5360 0.2607
Dy4 0.8594 0.8594 0.2049
Ho1 0.2157 0.2157 0.3531
Ho2 0.7843 0.7843 0.6469

=====

2.
# Er5Sb4
Theoretical powder diffraction line list, Cu Ka. Input: DFT lattice parameters and positions (GGA-PBE).

Principal peaks in the range 10 to 90 degrees two-theta, in order of rising 2θ:
- 2θ 10.47, intensity 87
- 2θ 26.66, intensity 100
- 2θ 30.64, intensity 32
- 2θ 33.56, intensity 75
- 2θ 34.20, intensity 95
- 2θ 37.47, intensity 71
- 2θ 42.14, intensity 29
- 2θ 48.19, intensity 17
- 2θ 51.17, intensity 16
- 2θ 54.91, intensity 37
- 2θ 66.81, intensity 17
- 2θ 70.91, intensity 22

Structural model:
a = 8.7133 Å, b = 8.7133 Å, c = 8.7133 Å
α = 93.47°, β = 93.47°, γ = 151.50°
Fractional coordinates of all 9 atoms:
Er1 0.0000 0.0000 0.0000
Er2 0.2849 0.6024 0.8872
Er3 0.3976 0.2849 0.6825
Er4 0.6024 0.7151 0.3175
Er5 0.7151 0.3976 0.1128
Sb1 0.0847 0.7572 0.8418
Sb2 0.2428 0.0847 0.3275
Sb3 0.7572 0.9153 0.6725
Sb4 0.9153 0.2428 0.1582

=====

3.
# K3Hf
Theoretical powder diffraction line list, Cu Ka. Input: DFT lattice parameters and positions (GGA-PBE).

Principal peaks in the range 10 to 90 degrees two-theta, in order of rising 2θ:
- 2θ 14.78, intensity 19
- 2θ 17.12, intensity 54
- 2θ 21.89, intensity 15
- 2θ 26.52, intensity 100
- 2θ 27.19, intensity 18
- 2θ 29.82, intensity 18
- 2θ 31.15, intensity 33
- 2θ 35.76, intensity 18
- 2θ 43.67, intensity 25
- 2θ 50.95, intensity 15
- 2θ 52.67, intensity 28
- 2θ 54.61, intensity 12

Structural model:
a = 7.2383 Å, b = 7.2383 Å, c = 7.2383 Å
α = 133.26°, β = 133.26°, γ = 68.24°
Fractional coordinates of all 4 atoms:
K1 0.0000 0.0000 0.0000
K2 0.2500 0.7500 0.5000
K3 0.7500 0.2500 0.5000
Hf1 0.5000 0.5000 0.0000